Starting from DFT lattice parameters and positions (PBE+U), the X-ray powder pattern of FeF6 was computed for copper Kα.

Principal peaks in the range 15° ≤ 2θ ≤ 90°, by angle:
d 4.849, 2θ 18.30, I = 23; d 4.109, 2θ 21.63, I = 100; d 3.870, 2θ 22.98, I = 21; d 2.866, 2θ 31.21, I = 9; d 2.828, 2θ 31.63, I = 18; d 2.746, 2θ 32.61, I = 15; d 2.199, 2θ 41.04, I = 26; d 2.055, 2θ 44.07, I = 8; d 2.013, 2θ 45.04, I = 19; d 1.567, 2θ 58.92, I = 9

Atomic structure:
Cell lengths 3.0373, 9.6981, 15.4927 Å; angles 90.00, 92.21, 90.00 degrees
Space group C2/c (No. 15)
Unique sites:
1 Fe 0.2500 0.2500 0.0000
2 F 0.0544 0.0539 0.2951
3 F 0.2299 0.1701 0.8986
4 F 0.2387 0.1333 0.4641